Starting from a DFT-relaxed cell (GGA-PBE, Alexandria), the powder diffraction line list of LiMg was computed for Cu Kα.
Neutral-atom scattering factors, no anomalous dispersion.

The 8 most intense peaks (2θ = 15–90°), sorted by position:
- 24.74°, I = 68
- 25.48°, I = 100
- 28.50°, I = 64
- 28.94°, I = 75
- 38.09°, I = 65
- 38.60°, I = 90
- 41.06°, I = 79
- 41.69°, I = 51

Atomic structure:
abc: 3.1319 6.9954 6.9954
angles: 118.09 90.00 90.00
Element x y z (fractional)
Li (0.0000, 0.0000, 0.0000)
Li (0.0000, 0.5481, 0.7730)
Li (0.0000, 0.7730, 0.5481)
Mg (0.5000, 0.1876, 0.7509)
Mg (0.5000, 0.3489, 0.3489)
Mg (0.5000, 0.7509, 0.1876)